No. 1
For Dy3CuGeS7, DFT lattice parameters and positions (GGA-PBE) gives the simulated powder XRD pattern in this record (Cu Kα (weighted mean of Kα1 and Kα2)).
Intensities are scaled so that the largest is 100.

Top 8 peaks for 10° ≤ 2θ ≤ 80°, in order of rising 2θ:
(1 1 1), 23.63°, d = 3.766 Å, intensity 27
(2 0 1), 25.85°, d = 3.447 Å, intensity 100
(2 1 0), 27.57°, d = 3.235 Å, intensity 24
(0 0 2), 30.75°, d = 2.907 Å, intensity 25
(2 2 0), 36.36°, d = 2.471 Å, intensity 46
(3 1 0), 37.90°, d = 2.374 Å, intensity 31
(1 3 1), 41.07°, d = 2.198 Å, intensity 28
(2 1 2), 41.77°, d = 2.163 Å, intensity 35

a = 9.8843 Å, b = 9.8843 Å, c = 5.8148 Å
α = 90.00°, β = 90.00°, γ = 120.00°
Space group P6_3 (No. 173)
Asymmetric unit:
1 Dy 0.1311 0.7741 0.0000 [6 per cell]
2 Cu 0.0000 0.0000 0.4416 [2 per cell]
3 Ge 0.3333 0.6667 0.5821 [2 per cell]
4 S 0.0985 0.5183 0.7449 [6 per cell]
5 S 0.0980 0.8390 0.4628 [6 per cell]
6 S 0.3333 0.6667 0.2031 [2 per cell]

No. 2
For NaInMo6Se6, DFT lattice parameters and positions (GGA-PBE) gives the simulated powder XRD pattern in this record (Cu Kα (weighted mean of Kα1 and Kα2)).
Intensities are scaled so that the largest is 100.

Top 8 peaks for 10° ≤ 2θ ≤ 80°, in order of rising 2θ:
(1 0 0), 10.62°, d = 8.329 Å, intensity 100
(1 0 1), 22.37°, d = 3.974 Å, intensity 8
(1 1 1), 27.07°, d = 3.294 Å, intensity 11
(2 1 0), 28.35°, d = 3.148 Å, intensity 13
(1 2 1), 34.72°, d = 2.584 Å, intensity 10
(0 0 2), 39.88°, d = 2.261 Å, intensity 14
(2 2 1), 42.59°, d = 2.123 Å, intensity 29
(3 1 1), 44.02°, d = 2.057 Å, intensity 31

a = 9.6175 Å, b = 9.6175 Å, c = 4.5216 Å
α = 90.00°, β = 90.00°, γ = 120.00°
Space group P-6 (No. 174)
Asymmetric unit:
1 Na 0.0000 0.0000 0.0000 [1 per cell]
2 In 0.6667 0.3333 0.5000 [1 per cell]
3 Mo 0.1627 0.5196 0.0000 [3 per cell]
4 Mo 0.1852 0.6888 0.5000 [3 per cell]
5 Se 0.0432 0.7157 0.0000 [3 per cell]
6 Se 0.3757 0.0018 0.5000 [3 per cell]

No. 3
For CaAl2Si3O13, DFT lattice parameters and positions (GGA-PBE) gives the simulated powder XRD pattern in this record (Cu Kα (weighted mean of Kα1 and Kα2)).
Intensities are scaled so that the largest is 100.

Top 8 peaks for 10° ≤ 2θ ≤ 80°, in order of rising 2θ:
(0 2 1), 13.51°, d = 6.555 Å, intensity 86
(1 1 0), 14.63°, d = 6.057 Å, intensity 100
(0 2 2), 21.43°, d = 4.146 Å, intensity 60
(2 2 0), 29.50°, d = 3.028 Å, intensity 35
(1 3 2), 30.55°, d = 2.926 Å, intensity 53
(1 5 1), 30.73°, d = 2.909 Å, intensity 38
(1 5 -2), 31.50°, d = 2.840 Å, intensity 33
(1 3 -3), 31.82°, d = 2.812 Å, intensity 34

a = 6.692 Å, b = 18.591 Å, c = 9.657 Å
α = 90.00°, β = 106.80°, γ = 90.00°
Space group Cc (No. 9)
Asymmetric unit:
1 Ca 0.000 0.092 0.000 [4 per cell]
2 Al 0.232 0.031 0.381 [4 per cell]
3 Al 0.295 0.219 0.529 [4 per cell]
4 Si 0.101 0.089 0.651 [4 per cell]
5 Si 0.151 0.381 0.955 [4 per cell]
6 Si 0.442 0.335 0.769 [4 per cell]
7 O 0.001 0.453 0.914 [4 per cell]
8 O 0.009 0.316 0.983 [4 per cell]
9 O 0.078 0.225 0.375 [4 per cell]
10 O 0.083 0.093 0.254 [4 per cell]
11 O 0.147 0.445 0.383 [4 per cell]
12 O 0.149 0.057 0.817 [4 per cell]
13 O 0.152 0.026 0.542 [4 per cell]
14 O 0.227 0.162 0.650 [4 per cell]
15 O 0.242 0.363 0.819 [4 per cell]
16 O 0.345 0.399 0.099 [4 per cell]
17 O 0.347 0.202 0.112 [4 per cell]
18 O 0.363 0.308 0.598 [4 per cell]
19 O 0.378 0.252 0.200 [4 per cell]

No. 4
For HoGa6Fe6, DFT lattice parameters and positions (GGA-PBE) gives the simulated powder XRD pattern in this record (Cu Kα (weighted mean of Kα1 and Kα2)).
Intensities are scaled so that the largest is 100.

Top 8 peaks for 10° ≤ 2θ ≤ 80°, in order of rising 2θ:
(0 4 2), 33.25°, d = 2.695 Å, intensity 16
(2 0 0), 34.66°, d = 2.588 Å, intensity 22
(1 3 3), 35.84°, d = 2.505 Å, intensity 73
(2 2 2), 40.70°, d = 2.217 Å, intensity 91
(1 1 5), 41.29°, d = 2.186 Å, intensity 66
(0 4 4), 42.12°, d = 2.145 Å, intensity 100
(2 4 0), 46.35°, d = 1.959 Å, intensity 20
(2 6 6), 75.96°, d = 1.253 Å, intensity 27

a = 5.176 Å, b = 11.989 Å, c = 12.312 Å
α = 90.00°, β = 90.00°, γ = 90.00°
Space group Fmmm (No. 69)
Asymmetric unit:
1 Ho 0.000 0.000 0.000 [4 per cell]
2 Ga 0.000 0.168 0.183 [16 per cell]
3 Ga 0.250 0.250 0.000 [8 per cell]
4 Fe 0.000 0.101 0.391 [16 per cell]
5 Fe 0.250 0.000 0.250 [8 per cell]